[1]
Calculated powder X-ray diffraction pattern
Compound: GdCoSi
Radiation: λ = 1.5418 Å (Cu Kα)
Structure: the PBE geometry in the Materials Project
Lines closer than 0.1° are merged.

Top 12 peaks for 15 to 90 degrees two-theta, sorted by position:
d/Å, I_rel, hkl
3.424, 856, 1 0 1
2.796, 273, 1 1 0
2.588, 1000, 1 0 2
2.281, 179, 0 0 3
2.165, 582, 1 1 2
1.977, 421, 2 0 0
1.712, 262, 2 1 1
1.571, 469, 1 0 4
1.494, 185, 2 0 3
1.398, 137, 2 2 0
1.230, 393, 2 1 4
1.175, 155, 3 1 2

Cell and atoms:
Unit cell a=3.9547 b=3.9547 c=6.8422 alpha=90.00 beta=90.00 gamma=90.00
Space group P4/nmm (No. 129, origin choice 2)
Asymmetric unit:
Gd  0.2500  0.2500  0.1802 [2 per cell]
Co  0.2500  0.7500  0.5000 [2 per cell]
Si  0.2500  0.2500  0.6835 [2 per cell]

---

[2]
Calculated powder X-ray diffraction pattern
Compound: GdCo4Si
Radiation: λ = 1.5418 Å (Cu Kα)
Structure: the PBE geometry in the Materials Project
Lines closer than 0.1° are merged.

Top 12 peaks for 15 to 90 degrees two-theta, sorted by position:
d/Å, I_rel, hkl
4.395, 104, 1 0 0
2.836, 767, 1 0 1
2.538, 314, 1 1 0
2.198, 542, 2 0 0
2.095, 1000, 1 1 1
1.856, 222, 0 0 2
1.516, 228, 2 1 1
1.498, 123, 1 1 2
1.418, 252, 2 0 2
1.363, 238, 3 0 1
1.269, 179, 2 2 0
1.112, 125, 1 1 3

Cell and atoms:
Unit cell a=5.0751 b=5.0751 c=3.7121 alpha=90.00 beta=90.00 gamma=120.00
Space group P-6m2 (No. 187)
Asymmetric unit:
Gd  0.0000  0.0000  0.0000 [1 per cell]
Co  0.0001  0.5001  0.5000 [3 per cell]
Co  0.6667  0.3333  0.0000 [1 per cell]
Si  0.3333  0.6667  0.0000 [1 per cell]